Record 1
This entry pairs a crystal structure of SnP2O9 with its computed PXRD pattern. Radiation: Cu Ka. Structure: a structure optimized by DFT (GGA-PBE).
Lines closer than 0.1° are merged.

Atomic structure:
```
data_SnP2O9
_chemical_formula_sum 'Sn4 P8 O36'
_space_group_name_H-M_alt 'C 1 2/c 1'
_space_group_IT_number 15
_cell_length_a 8.8352
_cell_length_b 5.0946
_cell_length_c 14.7353
_cell_angle_alpha 90.00
_cell_angle_beta 93.86
_cell_angle_gamma 90.00
loop_
_space_group_symop_operation_xyz
'x,y,z'
'-x,-y,-z'
'-x,y,-z+1/2'
'x,-y,z+1/2'
'x+1/2,y+1/2,z'
'-x+1/2,-y+1/2,-z'
'-x+1/2,y+1/2,-z+1/2'
'x+1/2,-y+1/2,z+1/2'
loop_
_atom_site_label
_atom_site_fract_x
_atom_site_fract_y
_atom_site_fract_z
Sn1 0.2500 0.2500 0.0000
P1 0.0965 0.2483 0.6118
O1 0.0000 0.4023 0.2500
O2 0.0615 0.3567 0.9181
O3 0.1159 0.0396 0.0832
O4 0.1174 0.2551 0.7201
O5 0.2249 0.4225 0.5797
```

Top 10 peaks for 2θ = 10–80°, low angle first:
two_theta, I_rel
12.04, 1000
20.83, 696
24.23, 622
26.73, 725
35.44, 229
36.15, 213
37.33, 187
40.91, 176
48.64, 158
55.94, 159



Record 2
This entry pairs a crystal structure of KLiS4 with its computed PXRD pattern. Radiation: Cu Ka. Structure: a structure optimized by DFT (GGA-PBE).
Lines closer than 0.1° are merged.

Atomic structure:
```
data_KLiS4
_chemical_formula_sum 'K4 Li4 S16'
_space_group_name_H-M_alt 'I 41/a m d'
_space_group_IT_number 141
_cell_length_a 5.5623
_cell_length_b 5.5623
_cell_length_c 19.3754
_cell_angle_alpha 90.00
_cell_angle_beta 90.00
_cell_angle_gamma 90.00
loop_
_space_group_symop_operation_xyz
'x,y,z'
'-x,-y,-z'
'-y+1/4,x+3/4,z+1/4'
'y+1/4,-x+3/4,-z+1/4'
'-x+1/2,-y,z+1/2'
'x+1/2,y,-z+1/2'
'y+1/4,-x+1/4,z+3/4'
'-y+1/4,x+1/4,-z+3/4'
'x,-y,-z'
'-x,y,z'
'-y+1/4,-x+1/4,-z+3/4'
'y+1/4,x+1/4,z+3/4'
'-x+1/2,y,-z+1/2'
'x+1/2,-y,z+1/2'
'y+1/4,x+3/4,-z+1/4'
'-y+1/4,-x+3/4,z+1/4'
'x+1/2,y+1/2,z+1/2'
'-x+1/2,-y+1/2,-z+1/2'
'-y+3/4,x+1/4,z+3/4'
'y+3/4,-x+1/4,-z+3/4'
'-x,-y+1/2,z'
'x,y+1/2,-z'
'y+3/4,-x+3/4,z+1/4'
'-y+3/4,x+3/4,-z+1/4'
'x+1/2,-y+1/2,-z+1/2'
'-x+1/2,y+1/2,z+1/2'
'-y+3/4,-x+3/4,-z+1/4'
'y+3/4,x+3/4,z+1/4'
'-x,y+1/2,-z'
'x,-y+1/2,z'
'y+3/4,x+1/4,-z+3/4'
'-y+3/4,-x+1/4,z+3/4'
loop_
_atom_site_label
_atom_site_fract_x
_atom_site_fract_y
_atom_site_fract_z
K1 0.0000 0.2500 0.3750
Li1 0.0000 0.2500 0.8750
S1 0.0000 0.0707 0.2188
```

Top 10 peaks for 2θ = 10–80°, low angle first:
two_theta, I_rel
16.58, 1000
18.32, 316
21.08, 469
28.06, 672
33.52, 958
35.98, 749
36.25, 692
36.41, 558
50.06, 297
61.83, 277



Record 3
This entry pairs a crystal structure of UPdBr6 with its computed PXRD pattern. Radiation: Cu Ka. Structure: a structure optimized by DFT (GGA-PBE).
Lines closer than 0.1° are merged.

Atomic structure:
```
data_UPdBr6
_chemical_formula_sum 'U1 Pd1 Br6'
_space_group_name_H-M_alt 'P -1'
_space_group_IT_number 2
_cell_length_a 6.4859
_cell_length_b 7.2512
_cell_length_c 7.6405
_cell_angle_alpha 115.13
_cell_angle_beta 114.72
_cell_angle_gamma 91.07
loop_
_space_group_symop_operation_xyz
'x,y,z'
'-x,-y,-z'
loop_
_atom_site_label
_atom_site_fract_x
_atom_site_fract_y
_atom_site_fract_z
U1 0.0000 0.0000 0.0000
Pd1 0.5000 0.5000 0.0000
Br1 0.0237 0.1949 0.3938
Br2 0.2766 0.7580 0.1481
Br3 0.4036 0.2899 0.1629
```

Top 10 peaks for 2θ = 10–80°, low angle first:
two_theta, I_rel
14.52, 1000
18.20, 480
18.54, 456
23.24, 430
25.85, 452
29.30, 494
31.17, 209
34.08, 230
39.61, 350
40.05, 351



Record 4
This entry pairs a crystal structure of Er3TmTl3 with its computed PXRD pattern. Radiation: Cu Ka. Structure: a structure optimized by DFT (GGA-PBE).
Lines closer than 0.1° are merged.

Atomic structure:
```
data_Er3TmTl3
_chemical_formula_sum 'Er6 Tm2 Tl6'
_space_group_name_H-M_alt 'P 63/m'
_space_group_IT_number 176
_space_group_name_Hall '-P 6c'
_cell_length_a 9.0529
_cell_length_b 9.0529
_cell_length_c 5.6267
_cell_angle_alpha 90.00
_cell_angle_beta 90.00
_cell_angle_gamma 120.00
loop_
_atom_site_label
_atom_site_fract_x
_atom_site_fract_y
_atom_site_fract_z
Er1 0.0977 0.4570 0.2500
Tm1 0.3333 0.6667 0.7500
Tl1 0.0500 0.2459 0.7500
```

Top 10 peaks for 2θ = 10–80°, low angle first:
two_theta, I_rel
30.16, 236
31.81, 278
34.20, 1000
44.40, 166
53.56, 193
58.21, 221
63.66, 212
65.10, 149
66.46, 40
74.70, 36



Record 5
This entry pairs a crystal structure of Y11Cd9Ir4 with its computed PXRD pattern. Radiation: Cu Ka. Structure: a structure optimized by DFT (GGA-PBE).
Lines closer than 0.1° are merged.

Atomic structure:
```
data_Y11Cd9Ir4
_chemical_formula_sum 'Y22 Cd18 Ir8'
_space_group_name_H-M_alt 'C m m m'
_space_group_IT_number 65
_space_group_name_Hall '-C 2 2'
_cell_length_a 14.4760
_cell_length_b 21.6719
_cell_length_c 3.7302
_cell_angle_alpha 90.00
_cell_angle_beta 90.00
_cell_angle_gamma 90.00
loop_
_atom_site_label
_atom_site_fract_x
_atom_site_fract_y
_atom_site_fract_z
Y1 0.0000 0.0000 0.0000
Y2 0.0000 0.1641 0.0000
Y3 0.0000 0.3672 0.0000
Y4 0.2002 0.5000 0.0000
Y5 0.2486 0.3343 0.0000
Cd1 0.0000 0.5000 0.5000
Cd2 0.1084 0.2586 0.5000
Cd3 0.1388 0.0737 0.5000
Ir1 0.1448 0.4027 0.5000
```

Top 10 peaks for 2θ = 10–80°, low angle first:
two_theta, I_rel
23.85, 76
32.78, 78
34.55, 1000
35.10, 463
36.84, 161
37.88, 70
48.82, 195
61.55, 177
62.62, 131
72.88, 106



Repeat the second record exactly.
This entry pairs a crystal structure of KLiS4 with its computed PXRD pattern. Radiation: Cu Ka. Structure: a structure optimized by DFT (GGA-PBE).
Lines closer than 0.1° are merged.

Atomic structure:
```
data_KLiS4
_chemical_formula_sum 'K4 Li4 S16'
_space_group_name_H-M_alt 'I 41/a m d'
_space_group_IT_number 141
_cell_length_a 5.5623
_cell_length_b 5.5623
_cell_length_c 19.3754
_cell_angle_alpha 90.00
_cell_angle_beta 90.00
_cell_angle_gamma 90.00
loop_
_space_group_symop_operation_xyz
'x,y,z'
'-x,-y,-z'
'-y+1/4,x+3/4,z+1/4'
'y+1/4,-x+3/4,-z+1/4'
'-x+1/2,-y,z+1/2'
'x+1/2,y,-z+1/2'
'y+1/4,-x+1/4,z+3/4'
'-y+1/4,x+1/4,-z+3/4'
'x,-y,-z'
'-x,y,z'
'-y+1/4,-x+1/4,-z+3/4'
'y+1/4,x+1/4,z+3/4'
'-x+1/2,y,-z+1/2'
'x+1/2,-y,z+1/2'
'y+1/4,x+3/4,-z+1/4'
'-y+1/4,-x+3/4,z+1/4'
'x+1/2,y+1/2,z+1/2'
'-x+1/2,-y+1/2,-z+1/2'
'-y+3/4,x+1/4,z+3/4'
'y+3/4,-x+1/4,-z+3/4'
'-x,-y+1/2,z'
'x,y+1/2,-z'
'y+3/4,-x+3/4,z+1/4'
'-y+3/4,x+3/4,-z+1/4'
'x+1/2,-y+1/2,-z+1/2'
'-x+1/2,y+1/2,z+1/2'
'-y+3/4,-x+3/4,-z+1/4'
'y+3/4,x+3/4,z+1/4'
'-x,y+1/2,-z'
'x,-y+1/2,z'
'y+3/4,x+1/4,-z+3/4'
'-y+3/4,-x+1/4,z+3/4'
loop_
_atom_site_label
_atom_site_fract_x
_atom_site_fract_y
_atom_site_fract_z
K1 0.0000 0.2500 0.3750
Li1 0.0000 0.2500 0.8750
S1 0.0000 0.0707 0.2188
```

Top 10 peaks for 2θ = 10–80°, low angle first:
two_theta, I_rel
16.58, 1000
18.32, 316
21.08, 469
28.06, 672
33.52, 958
35.98, 749
36.25, 692
36.41, 558
50.06, 297
61.83, 277



What is the formula in the fifth record? Y11Cd9Ir4